For Tb4CuGe3, a crystal structure in Alexandria, relaxed with GGA-PBE gives the theoretical X-ray powder pattern in this record (copper Kα).

Main lines, sorted by position (10 to 90 degrees two-theta):
2θ/deg, d (Å), I (rel.), (hkl)
27.56, 3.236, 26, 1 0 2
31.75, 2.818, 100, 1 1 1
32.59, 2.747, 38, 0 1 3
33.04, 2.711, 30, 0 0 4
39.69, 2.271, 53, 1 1 3
40.07, 2.250, 15, 1 0 4
42.78, 2.114, 24, 0 2 0
44.95, 2.017, 21, 2 0 0
56.61, 1.626, 16, 2 1 3
73.74, 1.285, 16, 2 2 4

Structure:
```
data_Tb4CuGe3
_chemical_formula_sum 'Tb4 Cu1 Ge3'
_cell_length_a 4.0333
_cell_length_b 4.2272
_cell_length_c 10.8456
_cell_angle_alpha 90.00
_cell_angle_beta 90.00
_cell_angle_gamma 90.00
_space_group_name_H-M_alt 'P m m 2'
_space_group_IT_number 25
loop_
_space_group_symop_operation_xyz
'x,y,z'
'-x,-y,z'
'-x,y,z'
'x,-y,z'
loop_
_atom_site_label
_atom_site_type_symbol
_atom_site_fract_x
_atom_site_fract_y
_atom_site_fract_z
_atom_site_occupancy
Tb1 Tb 0.0000 0.0000 0.0000 1
Tb2 Tb 0.0000 0.5000 0.4977 1
Tb3 Tb 0.5000 0.0000 0.7216 1
Tb4 Tb 0.5000 0.5000 0.2223 1
Cu1 Cu 0.0000 0.0000 0.2907 1
Ge1 Ge 0.0000 0.5000 0.7744 1
Ge2 Ge 0.5000 0.0000 0.4381 1
Ge3 Ge 0.5000 0.5000 0.9432 1
```



For AcAg3Te3, a crystal structure in Alexandria, relaxed with GGA-PBE gives the theoretical X-ray powder pattern in this record (copper Kα).

Main lines, sorted by position (10 to 90 degrees two-theta):
2θ/deg, d (Å), I (rel.), (hkl)
13.19, 6.714, 20, 1 0 1
24.88, 3.578, 89, 2 -1 3
32.29, 2.772, 100, 2 -1 6
38.44, 2.342, 94, 3 0 0
42.07, 2.148, 51, 1 1 9
51.05, 1.789, 27, 2 2 6
53.28, 1.719, 18, 0 3 9
58.29, 1.583, 18, 4 -2 9
65.66, 1.422, 35, 5 -4 6
72.01, 1.311, 17, 4 1 9

Structure:
```
data_AcAg3Te3
_chemical_formula_sum 'Ac6 Ag18 Te18'
_cell_length_a 8.1128
_cell_length_b 8.1128
_cell_length_c 22.7864
_cell_angle_alpha 90.00
_cell_angle_beta 90.00
_cell_angle_gamma 120.00
_space_group_name_H-M_alt 'R -3'
_space_group_IT_number 148
_space_group_name_Hall '-R 3'
loop_
_atom_site_label
_atom_site_type_symbol
_atom_site_fract_x
_atom_site_fract_y
_atom_site_fract_z
_atom_site_occupancy
Ac1 Ac 0.0000 0.0000 0.1662 1
Ag1 Ag 0.0055 0.6440 0.6247 1
Te1 Te 0.0023 0.6842 0.4192 1
```



For Nb2Ir3Ru2, a crystal structure in Alexandria, relaxed with GGA-PBE gives the theoretical X-ray powder pattern in this record (copper Kα).

Main lines, sorted by position (10 to 90 degrees two-theta):
2θ/deg, d (Å), I (rel.), (hkl)
20.41, 4.351, 12, 2 0 0
39.47, 2.283, 100, 3 1 -1
39.72, 2.269, 100, 1 1 2
45.76, 1.983, 32, 2 0 -3
46.00, 1.973, 33, 0 2 0
46.37, 1.958, 32, 4 0 1
66.89, 1.399, 31, 2 2 -3
67.38, 1.390, 21, 4 2 1
80.70, 1.191, 24, 3 3 -1
80.88, 1.189, 13, 1 3 2

Structure:
```
data_Nb2Ir3Ru2
_chemical_formula_sum 'Nb4 Ir6 Ru4'
_cell_length_a 8.8108
_cell_length_b 3.9462
_cell_length_c 6.2460
_cell_angle_alpha 90.00
_cell_angle_beta 98.99
_cell_angle_gamma 90.00
_space_group_name_H-M_alt 'C 1 2/m 1'
_space_group_IT_number 12
loop_
_space_group_symop_operation_xyz
'x,y,z'
'-x,-y,-z'
'-x,y,-z'
'x,-y,z'
'x+1/2,y+1/2,z'
'-x+1/2,-y+1/2,-z'
'-x+1/2,y+1/2,-z'
'x+1/2,-y+1/2,z'
loop_
_atom_site_label
_atom_site_type_symbol
_atom_site_fract_x
_atom_site_fract_y
_atom_site_fract_z
_atom_site_occupancy
Nb1 Nb 0.2055 0.0000 0.1601 1
Ir1 Ir 0.0000 0.5000 0.0000 1
Ir2 Ir 0.0782 0.0000 0.7159 1
Ru1 Ru 0.1357 0.5000 0.4278 1
```



For SnBi5Pd3, a crystal structure in Alexandria, relaxed with GGA-PBE gives the theoretical X-ray powder pattern in this record (copper Kα).

Main lines, sorted by position (10 to 90 degrees two-theta):
2θ/deg, d (Å), I (rel.), (hkl)
28.13, 3.172, 23, 2 2 -2
28.49, 3.133, 37, 4 0 -1
28.76, 3.105, 100, 2 2 1
29.43, 3.035, 37, 0 0 3
31.34, 2.854, 30, 1 3 -1
37.70, 2.386, 36, 5 1 -2
39.89, 2.260, 23, 0 4 0
42.31, 2.136, 34, 4 0 2
47.54, 1.913, 28, 5 3 -2
48.46, 1.878, 23, 1 3 -4

Structure:
```
data_SnBi5Pd3
_chemical_formula_sum 'Sn4 Bi20 Pd12'
_cell_length_a 12.5447
_cell_length_b 9.0391
_cell_length_c 9.7601
_cell_angle_alpha 90.00
_cell_angle_beta 111.12
_cell_angle_gamma 90.00
_space_group_name_H-M_alt 'C 1 2/m 1'
_space_group_IT_number 12
loop_
_space_group_symop_operation_xyz
'x,y,z'
'-x,-y,-z'
'-x,y,-z'
'x,-y,z'
'x+1/2,y+1/2,z'
'-x+1/2,-y+1/2,-z'
'-x+1/2,y+1/2,-z'
'x+1/2,-y+1/2,z'
loop_
_atom_site_label
_atom_site_type_symbol
_atom_site_fract_x
_atom_site_fract_y
_atom_site_fract_z
_atom_site_occupancy
Sn1 Sn 0.0942 0.0000 0.2954 1
Bi1 Bi 0.0000 0.3030 0.0000 1
Bi2 Bi 0.0488 0.5000 0.3552 1
Bi3 Bi 0.1856 0.2042 0.6182 1
Bi4 Bi 0.2304 0.0000 0.0306 1
Pd1 Pd 0.0000 0.0000 0.0000 1
Pd2 Pd 0.0000 0.0000 0.5000 1
Pd3 Pd 0.1717 0.5000 0.1758 1
Pd4 Pd 0.1778 0.5000 0.6709 1
```